For Li3V2Si2O10, a DFT-relaxed cell (PBE+U, Alexandria) gives the theoretical powder XRD pattern in this record (Cu Kα (weighted mean of Kα1 and Kα2)).
Lines closer than 0.1° are merged.

Cell and atoms:
```
data_Li3V2Si2O10
_chemical_formula_sum 'Li12 V8 Si8 O40'
_symmetry_space_group_name_H-M 'C m c e'
_symmetry_Int_Tables_number 64
_symmetry_space_group_name_Hall '-C 2ac 2'
_cell_length_a 9.0475
_cell_length_b 9.0120
_cell_length_c 9.1452
_cell_angle_alpha 90.00
_cell_angle_beta 90.00
_cell_angle_gamma 90.00
loop_
_atom_site_label
_atom_site_fract_x
_atom_site_fract_y
_atom_site_fract_z
Li1 0.0000 0.0000 0.0000
Li2 0.2500 0.2500 0.0000
V1 0.0000 0.2400 0.2976
Si1 0.2500 0.0018 0.7500
O1 0.0000 0.2291 0.1165
O2 0.1448 0.1047 0.8561
O3 0.1508 0.1063 0.3569
```

Largest 10 diffraction maxima, low angle first, 10° ≤ 2θ ≤ 80°:
hkl  2θ/deg  Rel. int.
0 0 2  19.41  90
1 1 2  23.94  46
2 2 0  27.95  100
2 2 2  34.26  78
1 1 4  41.97  27
4 2 0  44.84  14
3 3 2  47.10  21
4 4 0  57.76  26
6 0 0  61.52  13
3 1 6  69.96  19